1.
Diffraction record for Na4Co7P6O24. The PXRD pattern is simulated, not measured: it uses a cell relaxed with GGA+U and copper Kα.

Crystal structure
a b c (Å): 10.4348 14.2762 6.4554
angles (deg): 90.00 105.99 90.00
Space group Cm (No. 8)
Inequivalent atoms, fractional coordinates:
Na 0.0000 0.0000 0.0000 [2 per cell]
Na 0.1388 0.5000 0.9238 [2 per cell]
Na 0.3656 0.1111 0.9718 [4 per cell]
Co 0.1353 0.1861 0.2972 [4 per cell]
Co 0.2808 0.3212 0.6685 [4 per cell]
Co 0.4586 0.1598 0.4829 [4 per cell]
Co 0.4616 0.5000 0.4872 [2 per cell]
P 0.0548 0.1884 0.7754 [4 per cell]
P 0.1298 0.5000 0.4015 [2 per cell]
P 0.2871 0.0000 0.5417 [2 per cell]
P 0.3601 0.3192 0.1925 [4 per cell]
O 0.0085 0.5000 0.2047 [2 per cell]
O 0.1255 0.4135 0.5532 [4 per cell]
O 0.1378 0.2122 0.6156 [4 per cell]
O 0.1493 0.1648 0.9956 [4 per cell]
O 0.1643 0.0000 0.6257 [2 per cell]
O 0.2594 0.5000 0.3372 [2 per cell]
O 0.2705 0.3461 0.9707 [4 per cell]
O 0.2764 0.2957 0.3507 [4 per cell]
O 0.2884 0.0885 0.3958 [4 per cell]
O 0.4134 0.0000 0.7312 [2 per cell]
O 0.4517 0.2301 0.2023 [4 per cell]
O 0.4565 0.3960 0.7065 [4 per cell]
O 0.4578 0.2261 0.7635 [4 per cell]
O 0.4674 0.3980 0.2671 [4 per cell]

Principal peaks in the range 2θ from 5° to 70°, by intensity:
2theta  d [Å]  I_rel
32.73  2.736  100
33.56  2.670  90
14.27  6.206  80
23.74  3.747  50
12.40  7.138  37
37.81  2.379  26
55.83  1.647  25
31.44  2.846  24

2.
Diffraction record for Rb2Na4Co2O5. The PXRD pattern is simulated, not measured: it uses a cell relaxed with GGA+U and copper Kα.

Crystal structure
a b c (Å): 6.4362 6.4362 10.1471
angles (deg): 90.00 90.00 90.00
Space group P4_2/mnm (No. 136)
Inequivalent atoms, fractional coordinates:
Rb 0.1968 0.1968 0.0000 [4 per cell]
Na 0.0000 0.0000 0.2772 [4 per cell]
Na 0.0000 0.5000 0.2500 [4 per cell]
Co 0.2111 0.2111 0.5000 [4 per cell]
O 0.0000 0.0000 0.5000 [2 per cell]
O 0.2190 0.7810 0.1674 [8 per cell]

Principal peaks in the range 2θ from 5° to 70°, by intensity:
2theta  d [Å]  I_rel
32.96  2.717  100
35.87  2.504  48
39.61  2.276  43
17.48  5.074  42
27.72  3.218  31
35.38  2.537  29
62.22  1.492  24
54.17  1.693  24

3.
Diffraction record for Na2CoSi4O10. The PXRD pattern is simulated, not measured: it uses a cell relaxed with GGA+U and copper Kα.

Crystal structure
a b c (Å): 6.9203 7.6307 9.7656
angles (deg): 101.40 102.77 115.87
Space group P-1 (No. 2)
Inequivalent atoms, fractional coordinates:
Na 0.1624 0.2593 0.4835 [2 per cell]
Na 0.2365 0.7704 0.9239 [2 per cell]
Co 0.2579 0.1948 0.0782 [2 per cell]
Si 0.1083 0.8622 0.2392 [2 per cell]
Si 0.2559 0.5569 0.3027 [2 per cell]
Si 0.3107 0.1203 0.7471 [2 per cell]
Si 0.4015 0.7816 0.6388 [2 per cell]
O 0.0662 0.8923 0.0798 [2 per cell]
O 0.0742 0.1275 0.6811 [2 per cell]
O 0.0888 0.6362 0.2229 [2 per cell]
O 0.1480 0.3156 0.2251 [2 per cell]
O 0.2412 0.8910 0.6369 [2 per cell]
O 0.2749 0.5920 0.4788 [2 per cell]
O 0.3536 0.0463 0.3662 [2 per cell]
O 0.3937 0.1471 0.9189 [2 per cell]
O 0.4287 0.6994 0.7749 [2 per cell]
O 0.4853 0.2980 0.6945 [2 per cell]

Principal peaks in the range 2θ from 5° to 70°, by intensity:
2theta  d [Å]  I_rel
28.37  3.146  100
13.69  6.469  89
23.09  3.851  81
30.39  2.941  64
30.62  2.920  62
34.66  2.588  60
27.58  3.234  57
39.58  2.277  47